# 1
KP2W7O25: calculated powder XRD pattern (Cu Kα, 1.54184 Å), based on a GGA+U-relaxed structure.

Cell and atoms:
Cell: 14.075 14.075 6.823 Å, 96.79 96.79 22.37°
Positions (direct):
K 0.000 0.000 0.000
P 0.539 0.539 0.821
P 0.952 0.952 0.432
W 0.077 0.077 0.539
W 0.189 0.189 0.932
W 0.299 0.299 0.328
W 0.414 0.414 0.717
W 0.631 0.631 0.236
W 0.745 0.745 0.632
W 0.858 0.858 0.029
O 0.007 0.007 0.392
O 0.024 0.526 0.468
O 0.089 0.582 0.176
O 0.132 0.132 0.721
O 0.146 0.646 0.879
O 0.175 0.710 0.548
O 0.246 0.246 0.128
O 0.310 0.784 0.711
O 0.347 0.846 0.361
O 0.360 0.360 0.535
O 0.408 0.907 0.073
O 0.461 0.974 0.784
O 0.484 0.484 0.862
O 0.526 0.024 0.468
O 0.568 0.568 0.026
O 0.582 0.089 0.176
O 0.646 0.146 0.879
O 0.684 0.684 0.426
O 0.710 0.175 0.548
O 0.784 0.310 0.711
O 0.807 0.807 0.833
O 0.846 0.347 0.361
O 0.907 0.408 0.073
O 0.923 0.923 0.225
O 0.974 0.461 0.784

Largest 10 diffraction maxima, in order of rising 2θ, 2θ = 10–80°:
| 2theta | I/Imax |
| --- | --- |
| 19.50 | 23 |
| 22.39 | 100 |
| 24.78 | 40 |
| 25.53 | 22 |
| 31.59 | 24 |
| 32.81 | 17 |
| 33.59 | 12 |
| 33.69 | 27 |
| 45.70 | 14 |
| 52.74 | 20 |

---

# 2
KP2W6O22: calculated powder XRD pattern (Cu Kα, 1.54184 Å), based on a GGA+U-relaxed structure.

Cell and atoms:
Cell: 6.823 5.461 12.163 Å, 90.00 92.61 90.00°
Positions (direct):
K 0.000 0.000 0.000
P 0.200 0.500 0.100
P 0.528 0.000 0.904
W 0.195 0.000 0.440
W 0.219 0.500 0.817
W 0.514 0.000 0.187
W 0.536 0.500 0.562
W 0.859 0.500 0.310
W 0.872 0.000 0.693
O 0.013 0.500 0.166
O 0.018 0.252 0.367
O 0.018 0.748 0.367
O 0.032 0.000 0.577
O 0.043 0.253 0.778
O 0.043 0.747 0.778
O 0.122 0.500 0.977
O 0.317 0.263 0.121
O 0.317 0.737 0.121
O 0.365 0.500 0.696
O 0.366 0.256 0.504
O 0.366 0.744 0.504
O 0.372 0.000 0.308
O 0.405 0.232 0.884
O 0.405 0.768 0.884
O 0.607 0.000 0.027
O 0.688 0.249 0.228
O 0.688 0.751 0.228
O 0.691 0.500 0.430
O 0.700 0.254 0.634
O 0.700 0.746 0.634
O 0.712 0.000 0.836

Largest 10 diffraction maxima, in order of rising 2θ, 2θ = 10–80°:
| 2theta | I/Imax |
| --- | --- |
| 19.12 | 24 |
| 22.30 | 100 |
| 25.06 | 40 |
| 25.88 | 25 |
| 31.53 | 26 |
| 32.80 | 17 |
| 33.78 | 39 |
| 45.51 | 13 |
| 51.92 | 12 |
| 52.65 | 21 |